[1]
Structure and simulated powder diffraction line list of Pm3Cd7 (a structure optimized by DFT (PBE); Cu Kα, 1.54184 Å).
Intensities are scaled so that the largest is 100.

Cell and atoms:
a = 8.6962 Å, b = 8.6962 Å, c = 6.5908 Å
α = 109.62°, β = 109.62°, γ = 33.16°
Element x y z (fractional)
Pm: 0.0000 0.0000 0.0000
Pm: 0.2072 0.2072 0.6365
Pm: 0.7928 0.7928 0.3635
Cd: 0.0000 0.0000 0.5000
Cd: 0.1971 0.1971 0.1091
Cd: 0.3896 0.3896 0.1484
Cd: 0.4142 0.4142 0.6574
Cd: 0.5858 0.5858 0.3426
Cd: 0.6104 0.6104 0.8516
Cd: 0.8029 0.8029 0.8909

Peak list (6 most intense, 5° ≤ 2θ ≤ 70°, in order of falling intensity)
2theta	Rel. int.
33.9	100
32.9	97
36.2	45
36.5	35
52.4	24
43.3	21

***

[2]
Structure and simulated powder diffraction line list of MgScI (a structure optimized by DFT (PBE); Cu Kα, 1.54184 Å).
Intensities are scaled so that the largest is 100.

Cell and atoms:
a = 3.6603 Å, b = 3.6603 Å, c = 15.5966 Å
α = 90.00°, β = 90.00°, γ = 120.00°
Element x y z (fractional)
Mg: 0.0000 0.0000 0.0000
Mg: 0.0000 0.0000 0.5000
Sc: 0.3333 0.6667 0.1569
Sc: 0.3333 0.6667 0.8431
I: 0.0000 0.0000 0.2874
I: 0.0000 0.0000 0.7126

Peak list (6 most intense, 5° ≤ 2θ ≤ 70°, in order of falling intensity)
2theta	Rel. int.
11.3	100
28.2	61
33.1	53
40.6	47
36.5	47
30.4	34

***

[3]
Structure and simulated powder diffraction line list of Ti2As2Au (a structure optimized by DFT (PBE); Cu Kα, 1.54184 Å).
Intensities are scaled so that the largest is 100.

Cell and atoms:
a = 7.1849 Å, b = 7.1849 Å, c = 3.3031 Å
α = 90.00°, β = 90.00°, γ = 90.00°
Element x y z (fractional)
Ti: 0.1448 0.3552 0.0000
Ti: 0.3552 0.8552 0.0000
Ti: 0.6448 0.1448 0.0000
Ti: 0.8552 0.6448 0.0000
As: 0.1484 0.6484 0.5000
As: 0.3516 0.1484 0.5000
As: 0.6484 0.8516 0.5000
As: 0.8516 0.3516 0.5000
Au: 0.0000 0.0000 0.5000
Au: 0.5000 0.5000 0.5000

Peak list (6 most intense, 5° ≤ 2θ ≤ 70°, in order of falling intensity)
2theta	Rel. int.
39.7	100
39.1	66
48.6	54
32.3	49
27.0	40
17.5	35

***

Please write out number 2 again, unchanged.
Structure and simulated powder diffraction line list of MgScI (a structure optimized by DFT (PBE); Cu Kα, 1.54184 Å).
Intensities are scaled so that the largest is 100.

Cell and atoms:
a = 3.6603 Å, b = 3.6603 Å, c = 15.5966 Å
α = 90.00°, β = 90.00°, γ = 120.00°
Element x y z (fractional)
Mg: 0.0000 0.0000 0.0000
Mg: 0.0000 0.0000 0.5000
Sc: 0.3333 0.6667 0.1569
Sc: 0.3333 0.6667 0.8431
I: 0.0000 0.0000 0.2874
I: 0.0000 0.0000 0.7126

Peak list (6 most intense, 5° ≤ 2θ ≤ 70°, in order of falling intensity)
2theta	Rel. int.
11.3	100
28.2	61
33.1	53
40.6	47
36.5	47
30.4	34